[1]
This entry pairs a crystal structure of Sc3TlS with its computed powder diffractogram. Radiation: copper Kα. Structure: a DFT-relaxed cell (GGA-PBE, Alexandria).

Most intense lines, 10 to 90 degrees two-theta, by intensity:
d 2.839, intensity 100; d 2.384, intensity 84; d 2.638, intensity 76; d 3.892, intensity 72; d 3.451, intensity 70; d 6.213, intensity 62; d 2.497, intensity 53; d 2.714, intensity 51; d 2.023, intensity 33; d 1.837, intensity 32

Crystal structure
```
Sc3TlS
1.0
4.9931 0.0000 0.0000
0.0000 3.5926 0.0000
0.0000 0.0000 12.4256
Sc Tl S
6 2 2
Cartesian
0.0000 0.0000 0.0000 Sc
0.0000 0.0000 3.4705 Sc
0.0000 1.7963 6.2128 Sc
0.0000 1.7963 9.6833 Sc
2.4965 0.0000 8.2540 Sc
2.4965 1.7963 2.0412 Sc
2.4965 0.0000 5.0581 Tl
2.4965 1.7963 11.2709 Tl
0.0000 0.0000 7.9766 S
0.0000 1.7963 1.7638 S
```

=====

[2]
This entry pairs a crystal structure of Tm2Cu4Pd3 with its computed powder diffractogram. Radiation: copper Kα. Structure: a DFT-relaxed cell (GGA-PBE, Alexandria).

Most intense lines, 10 to 90 degrees two-theta, by intensity:
d 2.333, intensity 100; d 2.294, intensity 95; d 2.059, intensity 34; d 1.994, intensity 33; d 1.961, intensity 30; d 1.432, intensity 20; d 1.398, intensity 19; d 3.612, intensity 14; d 1.241, intensity 12; d 3.121, intensity 12

Crystal structure
```
Tm2Cu4Pd3
1.0
4.6065 -1.9938 0.0000
4.6065 1.9938 0.0000
-2.9546 0.0000 7.8896
Tm Cu Pd
2 4 3
Cartesian
0.8534 0.0000 1.7985 Tm
5.4049 0.0000 6.0912 Tm
-1.0806 0.0000 7.0402 Cu
3.5655 0.0000 2.6844 Cu
2.6928 0.0000 5.2053 Cu
7.3389 0.0000 0.8495 Cu
-0.1974 0.0000 4.4127 Pd
4.6065 0.0000 0.0000 Pd
6.4556 0.0000 3.4769 Pd
```

=====

[3]
This entry pairs a crystal structure of ThZn4Au2 with its computed powder diffractogram. Radiation: copper Kα. Structure: a DFT-relaxed cell (GGA-PBE, Alexandria).

Most intense lines, 10 to 90 degrees two-theta, by intensity:
d 2.814, intensity 100; d 2.533, intensity 76; d 2.040, intensity 70; d 2.563, intensity 59; d 8.231, intensity 52; d 2.867, intensity 50; d 2.262, intensity 46; d 1.427, intensity 45; d 2.157, intensity 37; d 1.998, intensity 36

Crystal structure
```
ThZn4Au2
1.0
4.0827 0.0000 0.0000
0.0000 16.4627 0.0000
0.0000 0.0000 3.9956
Th Zn Au
2 8 4
Cartesian
0.0000 0.0000 0.0000 Th
2.0413 8.2313 0.0000 Th
0.0000 3.1264 1.9978 Zn
0.0000 5.0226 0.0000 Zn
0.0000 11.4401 0.0000 Zn
0.0000 13.3362 1.9978 Zn
2.0413 3.2088 0.0000 Zn
2.0413 5.1049 1.9978 Zn
2.0413 11.3578 1.9978 Zn
2.0413 13.2539 0.0000 Zn
0.0000 6.8355 1.9978 Au
0.0000 9.6272 1.9978 Au
2.0413 1.3958 1.9978 Au
2.0413 15.0668 1.9978 Au
```